[1]
The following is a computed powder XRD pattern of K. It was derived from the PBE geometry in the Materials Project, using Cu Kα X-rays.
Lines closer than 0.1° are merged.

Main lines, in order of rising 2θ (2θ from 10° to 90°):
- 2θ = 20.8°, d 4.264, intensity 100
- 2θ = 22.5°, d 3.954, intensity 41
- 2θ = 26.3°, d 3.391, intensity 55
- 2θ = 30.7°, d 2.911, intensity 71
- 2θ = 34.9°, d 2.574, intensity 24
- 2θ = 40.8°, d 2.214, intensity 15
- 2θ = 45.0°, d 2.015, intensity 33
- 2θ = 46.2°, d 1.965, intensity 20
- 2θ = 47.0°, d 1.932, intensity 19
- 2θ = 49.1°, d 1.854, intensity 16

Structural model:
Cell: 8.5044 8.5044 8.5044 Å, 149.82 149.82 43.21°
Fractional positions:
K 0.3750 0.6250 0.7500
K 0.6250 0.3750 0.2500

---

[2]
The following is a computed powder XRD pattern of K. It was derived from the PBE geometry in the Materials Project, using Cu Kα X-rays.
Lines closer than 0.1° are merged.

Main lines, in order of rising 2θ (2θ from 10° to 90°):
- 2θ = 23.1°, d 3.843, intensity 100
- 2θ = 26.8°, d 3.328, intensity 51
- 2θ = 38.2°, d 2.353, intensity 36
- 2θ = 45.2°, d 2.007, intensity 42
- 2θ = 47.3°, d 1.921, intensity 12
- 2θ = 60.6°, d 1.527, intensity 16
- 2θ = 62.4°, d 1.488, intensity 14
- 2θ = 69.1°, d 1.359, intensity 10
- 2θ = 74.0°, d 1.281, intensity 11
- 2θ = 86.5°, d 1.125, intensity 11

Structural model:
Cell: 4.7063 4.7063 4.7063 Å, 60.00 60.00 60.00°
Fractional positions:
K 0.0000 0.0000 0.0000

---

[3]
The following is a computed powder XRD pattern of K. It was derived from the PBE geometry in the Materials Project, using Cu Kα X-rays.
Lines closer than 0.1° are merged.

Main lines, in order of rising 2θ (2θ from 10° to 90°):
- 2θ = 21.2°, d 4.184, intensity 33
- 2θ = 23.8°, d 3.743, intensity 100
- 2θ = 26.1°, d 3.416, intensity 78
- 2θ = 38.8°, d 2.321, intensity 25
- 2θ = 40.3°, d 2.237, intensity 43
- 2θ = 43.2°, d 2.092, intensity 17
- 2θ = 48.7°, d 1.871, intensity 12
- 2θ = 49.9°, d 1.826, intensity 22
- 2θ = 59.5°, d 1.554, intensity 18
- 2θ = 60.6°, d 1.528, intensity 11

Structural model:
Cell: 8.3686 8.3686 8.3686 Å, 90.00 90.00 90.00°
Fractional positions:
K 0.0000 0.0000 0.0000
K 0.0000 0.2500 0.5000
K 0.0000 0.7500 0.5000
K 0.2500 0.5000 0.0000
K 0.5000 0.0000 0.2500
K 0.5000 0.0000 0.7500
K 0.5000 0.5000 0.5000
K 0.7500 0.5000 0.0000

---

[4]
The following is a computed powder XRD pattern of K. It was derived from the PBE geometry in the Materials Project, using Cu Kα X-rays.
Lines closer than 0.1° are merged.

Main lines, in order of rising 2θ (2θ from 10° to 90°):
- 2θ = 23.9°, d 3.721, intensity 100
- 2θ = 34.1°, d 2.631, intensity 19
- 2θ = 42.1°, d 2.148, intensity 39
- 2θ = 49.0°, d 1.860, intensity 12
- 2θ = 55.2°, d 1.664, intensity 16
- 2θ = 61.0°, d 1.519, intensity 4
- 2θ = 66.5°, d 1.406, intensity 17
- 2θ = 76.9°, d 1.240, intensity 8
- 2θ = 81.9°, d 1.177, intensity 4
- 2θ = 86.8°, d 1.122, intensity 4

Structural model:
Cell: 4.5571 4.5571 4.5571 Å, 109.47 109.47 109.47°
Fractional positions:
K 0.0000 0.0000 0.0000

---

[5]
The following is a computed powder XRD pattern of K. It was derived from the PBE geometry in the Materials Project, using Cu Kα X-rays.
Lines closer than 0.1° are merged.

Main lines, in order of rising 2θ (2θ from 10° to 90°):
- 2θ = 21.6°, d 4.105, intensity 16
- 2θ = 22.1°, d 4.017, intensity 16
- 2θ = 23.3°, d 3.825, intensity 35
- 2θ = 24.6°, d 3.617, intensity 100
- 2θ = 25.0°, d 3.557, intensity 35
- 2θ = 32.3°, d 2.770, intensity 12
- 2θ = 38.5°, d 2.336, intensity 16
- 2θ = 41.7°, d 2.166, intensity 21
- 2θ = 45.5°, d 1.994, intensity 19
- 2θ = 45.8°, d 1.982, intensity 12

Structural model:
Cell: 4.6732 4.6732 7.6504 Å, 90.00 90.00 118.55°
Fractional positions:
K 0.1796 0.8204 0.7500
K 0.8204 0.1796 0.2500

---

[6]
The following is a computed powder XRD pattern of K. It was derived from the PBE geometry in the Materials Project, using Cu Kα X-rays.
Lines closer than 0.1° are merged.

Main lines, in order of rising 2θ (2θ from 10° to 90°):
- 2θ = 21.6°, d 4.116, intensity 25
- 2θ = 22.1°, d 4.026, intensity 10
- 2θ = 23.9°, d 3.718, intensity 100
- 2θ = 25.3°, d 3.526, intensity 59
- 2θ = 30.3°, d 2.946, intensity 10
- 2θ = 37.6°, d 2.394, intensity 26
- 2θ = 41.3°, d 2.188, intensity 14
- 2θ = 43.7°, d 2.071, intensity 15
- 2θ = 45.0°, d 2.013, intensity 40
- 2θ = 63.3°, d 1.469, intensity 11

Structural model:
Cell: 11.4996 11.4996 11.4996 Å, 24.04 24.04 24.04°
Fractional positions:
K 0.0000 0.0000 0.0000
K 0.2223 0.2223 0.2223
K 0.7777 0.7777 0.7777

---

[7]
The following is a computed powder XRD pattern of KLa3. It was derived from the PBE geometry in the Materials Project, using Cu Kα X-rays.
Lines closer than 0.1° are merged.

Main lines, in order of rising 2θ (2θ from 10° to 90°):
- 2θ = 18.2°, d 4.872, intensity 13
- 2θ = 28.3°, d 3.151, intensity 100
- 2θ = 32.5°, d 2.754, intensity 17
- 2θ = 33.0°, d 2.716, intensity 33
- 2θ = 47.0°, d 1.934, intensity 25
- 2θ = 47.3°, d 1.920, intensity 12
- 2θ = 55.5°, d 1.657, intensity 15
- 2θ = 56.1°, d 1.640, intensity 29
- 2θ = 58.6°, d 1.575, intensity 13
- 2θ = 75.8°, d 1.254, intensity 12

Structural model:
Cell: 6.7155 6.7155 6.7155 Å, 132.29 132.29 69.77°
Fractional positions:
K 0.0000 0.0000 0.0000
La 0.2500 0.7500 0.5000
La 0.5000 0.5000 0.0000
La 0.7500 0.2500 0.5000

---

[8]
The following is a computed powder XRD pattern of KLa3. It was derived from the PBE geometry in the Materials Project, using Cu Kα X-rays.
Lines closer than 0.1° are merged.

Main lines, in order of rising 2θ (2θ from 10° to 90°):
- 2θ = 16.2°, d 5.456, intensity 12
- 2θ = 23.1°, d 3.858, intensity 11
- 2θ = 28.3°, d 3.150, intensity 100
- 2θ = 32.8°, d 2.728, intensity 51
- 2θ = 47.1°, d 1.929, intensity 37
- 2θ = 55.9°, d 1.645, intensity 44
- 2θ = 58.6°, d 1.575, intensity 13
- 2θ = 76.0°, d 1.252, intensity 17
- 2θ = 78.4°, d 1.220, intensity 16
- 2θ = 87.6°, d 1.114, intensity 12

Structural model:
Cell: 5.4564 5.4564 5.4564 Å, 90.00 90.00 90.00°
Fractional positions:
K 0.0000 0.0000 0.0000
La 0.0000 0.5000 0.5000
La 0.5000 0.0000 0.5000
La 0.5000 0.5000 0.0000